Computed powder diffraction line list of La3CeIn4 for Cu Kα, from a PBE-relaxed structure.
Peak positions follow from Bragg's law for the DFT cell and can differ from measured ones.

Top 7 peaks for 2θ = 15–90°, in order of rising 2θ:
- d 3.935, intensity 0.8
- d 2.783, intensity 100.0
- d 1.968, intensity 18.1
- d 1.607, intensity 37.2
- d 1.391, intensity 11.4
- d 1.244, intensity 15.6
- d 1.136, intensity 4.0

Structure:
```
data_La3CeIn4
_chemical_formula_sum 'La3 Ce1 In4'
_space_group_name_H-M_alt 'P 4/m m m'
_space_group_IT_number 123
_space_group_name_Hall '-P 4 2'
_cell_length_a 3.9353
_cell_length_b 3.9353
_cell_length_c 15.7422
_cell_angle_alpha 90.00
_cell_angle_beta 90.00
_cell_angle_gamma 90.00
loop_
_atom_site_label
_atom_site_fract_x
_atom_site_fract_y
_atom_site_fract_z
La1 0.0000 0.0000 0.0000
La2 0.0000 0.0000 0.2531
Ce1 0.0000 0.0000 0.5000
In1 0.5000 0.5000 0.1269
In2 0.5000 0.5000 0.3800
```